The following is a simulated X-ray powder pattern of Tl4WF6. It was derived from a DFT-relaxed cell (GGA+U, Alexandria), using Cu Kα (λ = 1.5418 Å).

Principal peaks in the range 15 to 90 degrees two-theta, in order of rising 2θ:
h k l	2θ (°)	intensity
0 0 2	17.79	499
2 1 0	26.04	761
2 0 2	29.42	621
2 1 2	31.71	1000
0 0 4	36.02	320
2 1 4	44.98	361
4 1 2	52.65	580
3 3 2	54.07	316

```
data_Tl4WF6
_space_group_name_H-M_alt 'P 4/m n c'
_space_group_IT_number 128
_space_group_name_Hall '-P 4 2n'
_cell_length_a 7.6520
_cell_length_b 7.6520
_cell_length_c 9.9741
_cell_angle_alpha 90.00
_cell_angle_beta 90.00
_cell_angle_gamma 90.00
loop_
_atom_site_label
_atom_site_fract_x
_atom_site_fract_y
_atom_site_fract_z
_atom_site_occupancy
Tl1 0.1787 0.3213 0.2500 1
W1 0.0000 0.0000 0.0000 1
F1 0.0000 0.0000 0.2147 1
F2 0.1829 0.7917 0.0000 1
```